Structure and calculated powder XRD pattern of Ho4TmAgSe8 (a crystal structure in Alexandria, relaxed with GGA-PBE; λ = 1.5418 Å (Cu Kα)).

Structural model:
Cell lengths 8.3482, 8.3482, 20.3872 Å; angles 90.00, 90.00, 120.00 degrees
Space group R3m (No. 160, hexagonal axes)
Unique sites:
1 Ho 0.0000 0.0000 0.0000 (multiplicity 3)
2 Ho 0.1731 0.3462 0.2071 (multiplicity 9)
3 Tm 0.0000 0.0000 0.3803 (multiplicity 3)
4 Ag 0.0000 0.0000 0.7507 (multiplicity 3)
5 Se 0.0000 0.0000 0.1337 (multiplicity 3)
6 Se 0.0000 0.0000 0.6187 (multiplicity 3)
7 Se 0.0190 0.5095 0.1270 (multiplicity 9)
8 Se 0.1787 0.3575 0.9566 (multiplicity 9)

Top 10 peaks for 10 to 80 degrees two-theta, sorted by position:
hkl, 2θ (°), I (rel.)
1 0 1, 13.0, 18
1 1 0, 21.3, 22
0 1 5, 25.0, 94
0 2 4, 30.3, 57
1 2 5, 39.7, 49
2 0 8, 43.4, 100
4 0 4, 53.8, 11
4 1 3, 60.2, 17
0 4 8, 63.1, 16
4 2 8, 79.6, 23

---

Structure and calculated powder XRD pattern of Ho2Ag3Sn3 (a crystal structure in Alexandria, relaxed with GGA-PBE; λ = 1.5418 Å (Cu Kα)).

Structural model:
Cell lengths 4.536, 4.658, 8.642 Å; angles 90.00, 90.00, 90.00 degrees
Space group Pmmm (No. 47)
Unique sites:
1 Ho 0.000 0.000 0.249 (multiplicity 2)
2 Ag 0.000 0.500 0.500 (multiplicity 1)
3 Ag 0.500 0.500 0.263 (multiplicity 2)
4 Sn 0.000 0.500 0.000 (multiplicity 1)
5 Sn 0.500 0.000 0.000 (multiplicity 1)
6 Sn 0.500 0.000 0.500 (multiplicity 1)

Top 10 peaks for 10 to 80 degrees two-theta, sorted by position:
hkl, 2θ (°), I (rel.)
1 1 2, 34.5, 100
0 2 0, 38.7, 18
2 0 0, 39.7, 17
0 0 4, 41.8, 15
2 2 0, 56.6, 12
0 2 4, 58.2, 11
1 3 2, 67.3, 14
3 1 2, 68.8, 13
1 1 6, 71.7, 11
2 2 4, 72.8, 11